(1)
Diffraction record for ZrU10Ti4. The powder diffractogram is calculated, not measured: it uses the GGA-PBE geometry in the Materials Project and Cu Kα.
Neutral-atom scattering factors, no anomalous dispersion.

Principal peaks in the range 5° ≤ 2θ ≤ 70°, in order of rising 2θ:
2theta  I_rel  h k l
21.2  44  0 0 5
31.7  32  0 1 0
37.2  100  2 0 -1
38.4  58  0 1 5
49.6  55  2 1 -1
54.5  20  2 1 4
66.1  7  0 2 0
67.1  12  3 0 -9
67.8  14  1 1 12
67.9  7  3 1 -4

Cell and atoms:
```
data_ZrU10Ti4
_symmetry_space_group_name_H-M 'P 1 2/m 1'
_symmetry_Int_Tables_number 10
_cell_length_a 4.830
_cell_length_b 2.826
_cell_length_c 21.109
_cell_angle_alpha 90.00
_cell_angle_beta 96.53
_cell_angle_gamma 90.00
loop_
_symmetry_equiv_pos_as_xyz
'x,y,z'
'-x,-y,-z'
'-x,y,-z'
'x,-y,z'
loop_
_atom_site_label
_atom_site_type_symbol
_atom_site_fract_x
_atom_site_fract_y
_atom_site_fract_z
_atom_site_occupancy
Zr1 Zr 0.000 0.000 0.000 1
U1 U 0.070 0.500 0.140 1
U2 U 0.135 0.500 0.270 1
U3 U 0.267 0.500 0.533 1
U4 U 0.333 0.500 0.665 1
U5 U 0.462 0.500 0.925 1
Ti1 Ti 0.200 0.000 0.402 1
Ti2 Ti 0.398 0.000 0.796 1
```

***

(2)
Diffraction record for TiV. The powder diffractogram is calculated, not measured: it uses the GGA-PBE geometry in the Materials Project and Cu Kα.
Neutral-atom scattering factors, no anomalous dispersion.

Principal peaks in the range 5° ≤ 2θ ≤ 70°, in order of rising 2θ:
2theta  I_rel  h k l
40.8  100  1 1 1
41.0  20  0 2 0
59.0  6  2 0 0
59.3  12  0 2 2

Cell and atoms:
```
data_TiV
_symmetry_space_group_name_H-M 'C m m m'
_symmetry_Int_Tables_number 65
_symmetry_space_group_name_Hall '-C 2 2'
_cell_length_a 3.131
_cell_length_b 4.408
_cell_length_c 4.413
_cell_angle_alpha 90.00
_cell_angle_beta 90.00
_cell_angle_gamma 90.00
loop_
_atom_site_label
_atom_site_type_symbol
_atom_site_fract_x
_atom_site_fract_y
_atom_site_fract_z
_atom_site_occupancy
Ti1 Ti 0.000 0.000 0.000 1
V1 V 0.000 0.500 0.500 1
```

***

(3)
Diffraction record for TiVW. The powder diffractogram is calculated, not measured: it uses the GGA-PBE geometry in the Materials Project and Cu Kα.
Neutral-atom scattering factors, no anomalous dispersion.

Principal peaks in the range 5° ≤ 2θ ≤ 70°, in order of rising 2θ:
2theta  I_rel  h k l
25.7  63  1 1 1
29.7  58  2 0 0
42.5  100  2 2 0
50.3  32  3 1 1
52.7  16  2 2 2
61.7  16  4 0 0
67.9  13  3 3 1
70.0  21  4 2 0

Cell and atoms:
```
data_TiVW
_symmetry_space_group_name_H-M 'F -4 3 m'
_symmetry_Int_Tables_number 216
_symmetry_space_group_name_Hall 'F -4 2 3'
_cell_length_a 6.014
_cell_length_b 6.014
_cell_length_c 6.014
_cell_angle_alpha 90.00
_cell_angle_beta 90.00
_cell_angle_gamma 90.00
loop_
_atom_site_label
_atom_site_type_symbol
_atom_site_fract_x
_atom_site_fract_y
_atom_site_fract_z
_atom_site_occupancy
Ti1 Ti 0.000 0.000 0.000 1
V1 V 0.250 0.250 0.750 1
W1 W 0.250 0.250 0.250 1
```

***

(4)
Diffraction record for TiW. The powder diffractogram is calculated, not measured: it uses the GGA-PBE geometry in the Materials Project and Cu Kα.
Neutral-atom scattering factors, no anomalous dispersion.

Principal peaks in the range 5° ≤ 2θ ≤ 70°, in order of rising 2θ:
2theta  I_rel  h k l
19.9  48  0 0 1
34.3  26  1 1 0
39.3  26  0 2 0
40.0  100  1 1 1
40.5  24  0 0 2
44.5  13  0 2 1
54.1  15  1 1 2
57.7  17  0 2 2
58.0  8  2 0 0
62.0  5  2 0 1

Cell and atoms:
```
data_TiW
_symmetry_space_group_name_H-M 'C m m m'
_symmetry_Int_Tables_number 65
_symmetry_space_group_name_Hall '-C 2 2'
_cell_length_a 3.180
_cell_length_b 4.583
_cell_length_c 4.454
_cell_angle_alpha 90.00
_cell_angle_beta 90.00
_cell_angle_gamma 90.00
loop_
_atom_site_label
_atom_site_type_symbol
_atom_site_fract_x
_atom_site_fract_y
_atom_site_fract_z
_atom_site_occupancy
Ti1 Ti 0.000 0.000 0.000 1
W1 W 0.000 0.500 0.500 1
```

***

(5)
Diffraction record for YTi. The powder diffractogram is calculated, not measured: it uses the GGA-PBE geometry in the Materials Project and Cu Kα.
Neutral-atom scattering factors, no anomalous dispersion.

Principal peaks in the range 5° ≤ 2θ ≤ 70°, in order of rising 2θ:
2theta  I_rel  h k l
24.3  12  1 0 0
34.7  100  1 1 0
42.8  4  1 1 1
49.9  17  2 0 0
56.2  5  2 1 0
62.2  34  2 1 1

Cell and atoms:
```
data_YTi
_symmetry_space_group_name_H-M 'P m -3 m'
_symmetry_Int_Tables_number 221
_symmetry_space_group_name_Hall '-P 4 2 3'
_cell_length_a 3.658
_cell_length_b 3.658
_cell_length_c 3.658
_cell_angle_alpha 90.00
_cell_angle_beta 90.00
_cell_angle_gamma 90.00
loop_
_atom_site_label
_atom_site_type_symbol
_atom_site_fract_x
_atom_site_fract_y
_atom_site_fract_z
_atom_site_occupancy
Y1 Y 0.000 0.000 0.000 1
Ti1 Ti 0.500 0.500 0.500 1
```

***

(6)
Diffraction record for Ti3Zn. The powder diffractogram is calculated, not measured: it uses the GGA-PBE geometry in the Materials Project and Cu Kα.
Neutral-atom scattering factors, no anomalous dispersion.

Principal peaks in the range 5° ≤ 2θ ≤ 70°, in order of rising 2θ:
2theta  I_rel  h k l
21.4  1  0 0 2
24.9  4  1 0 1
31.9  1  1 1 0
38.8  100  1 1 2
39.7  1  1 0 3
43.6  17  0 0 4
45.8  30  2 0 0
52.8  1  2 1 1
65.1  19  2 0 4
66.7  9  2 2 0

Cell and atoms:
```
data_Ti3Zn
_symmetry_space_group_name_H-M 'I 4/m m m'
_symmetry_Int_Tables_number 139
_symmetry_space_group_name_Hall '-I 4 2'
_cell_length_a 3.964
_cell_length_b 3.964
_cell_length_c 8.301
_cell_angle_alpha 90.00
_cell_angle_beta 90.00
_cell_angle_gamma 90.00
loop_
_atom_site_label
_atom_site_type_symbol
_atom_site_fract_x
_atom_site_fract_y
_atom_site_fract_z
_atom_site_occupancy
Ti1 Ti 0.000 0.000 0.000 1
Ti2 Ti 0.000 0.500 0.250 1
Zn1 Zn 0.000 0.000 0.500 1
```

***

(7)
Diffraction record for TiZn16. The powder diffractogram is calculated, not measured: it uses the GGA-PBE geometry in the Materials Project and Cu Kα.
Neutral-atom scattering factors, no anomalous dispersion.

Principal peaks in the range 5° ≤ 2θ ≤ 70°, in order of rising 2θ:
2theta  I_rel  h k l
31.9  24  2 2 2
38.7  23  2 0 4
38.9  30  0 4 3
39.1  23  3 1 2
39.8  80  2 4 1
40.6  73  1 3 4
41.7  71  0 2 5
41.9  29  2 2 4
42.9  100  3 1 3
45.2  37  3 3 2

Cell and atoms:
```
data_TiZn16
_symmetry_space_group_name_H-M 'C m c m'
_symmetry_Int_Tables_number 63
_symmetry_space_group_name_Hall '-C 2c 2'
_cell_length_a 7.707
_cell_length_b 11.519
_cell_length_c 11.673
_cell_angle_alpha 90.00
_cell_angle_beta 90.00
_cell_angle_gamma 90.00
loop_
_atom_site_label
_atom_site_type_symbol
_atom_site_fract_x
_atom_site_fract_y
_atom_site_fract_z
_atom_site_occupancy
Ti1 Ti 0.000 0.047 0.250 1
Zn1 Zn 0.000 0.000 0.000 1
Zn2 Zn 0.000 0.176 0.641 1
Zn3 Zn 0.000 0.289 0.250 1
Zn4 Zn 0.000 0.379 0.531 1
Zn5 Zn 0.165 0.357 0.750 1
Zn6 Zn 0.168 0.185 0.069 1
Zn7 Zn 0.206 0.447 0.135 1
```

***

(8)
Diffraction record for TiZn. The powder diffractogram is calculated, not measured: it uses the GGA-PBE geometry in the Materials Project and Cu Kα.
Neutral-atom scattering factors, no anomalous dispersion.

Principal peaks in the range 5° ≤ 2θ ≤ 70°, in order of rising 2θ:
2theta  I_rel  h k l
28.4  5  1 0 0
40.5  100  1 1 0
50.2  2  1 1 1
58.7  16  2 0 0
66.4  2  2 1 0

Cell and atoms:
```
data_TiZn
_symmetry_space_group_name_H-M 'P m -3 m'
_symmetry_Int_Tables_number 221
_symmetry_space_group_name_Hall '-P 4 2 3'
_cell_length_a 3.147
_cell_length_b 3.147
_cell_length_c 3.147
_cell_angle_alpha 90.00
_cell_angle_beta 90.00
_cell_angle_gamma 90.00
loop_
_atom_site_label
_atom_site_type_symbol
_atom_site_fract_x
_atom_site_fract_y
_atom_site_fract_z
_atom_site_occupancy
Ti1 Ti 0.000 0.000 0.000 1
Zn1 Zn 0.500 0.500 0.500 1
```

***

(9)
Diffraction record for Ti3Zn. The powder diffractogram is calculated, not measured: it uses the GGA-PBE geometry in the Materials Project and Cu Kα.
Neutral-atom scattering factors, no anomalous dispersion.

Principal peaks in the range 5° ≤ 2θ ≤ 70°, in order of rising 2θ:
2theta  I_rel  h k l
22.1  4  1 0 0
31.5  3  1 1 0
38.8  100  1 1 1
45.1  47  2 0 0
50.8  2  2 1 0
56.1  1  2 1 1
65.7  28  2 2 0

Cell and atoms:
```
data_Ti3Zn
_symmetry_space_group_name_H-M 'P m -3 m'
_symmetry_Int_Tables_number 221
_symmetry_space_group_name_Hall '-P 4 2 3'
_cell_length_a 4.018
_cell_length_b 4.018
_cell_length_c 4.018
_cell_angle_alpha 90.00
_cell_angle_beta 90.00
_cell_angle_gamma 90.00
loop_
_atom_site_label
_atom_site_type_symbol
_atom_site_fract_x
_atom_site_fract_y
_atom_site_fract_z
_atom_site_occupancy
Ti1 Ti 0.000 0.000 0.500 1
Zn1 Zn 0.500 0.500 0.500 1
```

***

(10)
Diffraction record for Tl. The powder diffractogram is calculated, not measured: it uses the GGA-PBE geometry in the Materials Project and Cu Kα.
Neutral-atom scattering factors, no anomalous dispersion.

Principal peaks in the range 5° ≤ 2θ ≤ 70°, in order of rising 2θ:
2theta  I_rel  h k l
29.1  23  1 0 0
31.2  26  0 0 2
33.1  100  1 0 1
43.1  16  1 0 2
51.5  20  1 1 0
56.7  22  1 0 3
61.4  23  1 1 2
62.6  16  2 0 1
65.0  3  0 0 4
69.4  4  2 0 2

Cell and atoms:
```
data_Tl
_symmetry_space_group_name_H-M 'P 63/m m c'
_symmetry_Int_Tables_number 194
_symmetry_space_group_name_Hall '-P 6c 2c'
_cell_length_a 3.5489
_cell_length_b 3.5489
_cell_length_c 5.7384
_cell_angle_alpha 90.00
_cell_angle_beta 90.00
_cell_angle_gamma 120.00
loop_
_atom_site_label
_atom_site_type_symbol
_atom_site_fract_x
_atom_site_fract_y
_atom_site_fract_z
_atom_site_occupancy
Tl1 Tl 0.3333 0.6667 0.2500 1
```

***

(11)
Diffraction record for Tl. The powder diffractogram is calculated, not measured: it uses the GGA-PBE geometry in the Materials Project and Cu Kα.
Neutral-atom scattering factors, no anomalous dispersion.

Principal peaks in the range 5° ≤ 2θ ≤ 70°, in order of rising 2θ:
2theta  I_rel  h k l
29.1  8  1 0 0
30.1  43  1 0 1
31.3  34  0 0 4
33.1  100  1 0 2
37.6  24  1 0 3
49.7  11  1 0 5
51.6  26  1 1 0
56.9  22  1 0 6
61.6  31  1 1 4
62.7  16  2 0 2

Cell and atoms:
```
data_Tl
_symmetry_space_group_name_H-M 'P 63/m m c'
_symmetry_Int_Tables_number 194
_symmetry_space_group_name_Hall '-P 6c 2c'
_cell_length_a 3.5455
_cell_length_b 3.5455
_cell_length_c 11.4356
_cell_angle_alpha 90.00
_cell_angle_beta 90.00
_cell_angle_gamma 120.00
loop_
_atom_site_label
_atom_site_type_symbol
_atom_site_fract_x
_atom_site_fract_y
_atom_site_fract_z
_atom_site_occupancy
Tl1 Tl 0.0000 0.0000 0.0000 1
Tl2 Tl 0.3333 0.6667 0.2500 1
```

***

(12)
Diffraction record for Tl. The powder diffractogram is calculated, not measured: it uses the GGA-PBE geometry in the Materials Project and Cu Kα.
Neutral-atom scattering factors, no anomalous dispersion.

Principal peaks in the range 5° ≤ 2θ ≤ 70°, in order of rising 2θ:
2theta  I_rel  h k l
31.9  100  1 1 0
45.8  19  2 0 0
56.9  40  2 1 1
66.8  12  2 2 0

Cell and atoms:
```
data_Tl
_symmetry_space_group_name_H-M 'I m -3 m'
_symmetry_Int_Tables_number 229
_symmetry_space_group_name_Hall '-I 4 2 3'
_cell_length_a 3.964
_cell_length_b 3.964
_cell_length_c 3.964
_cell_angle_alpha 90.00
_cell_angle_beta 90.00
_cell_angle_gamma 90.00
loop_
_atom_site_label
_atom_site_type_symbol
_atom_site_fract_x
_atom_site_fract_y
_atom_site_fract_z
_atom_site_occupancy
Tl1 Tl 0.000 0.000 0.000 1
```